(1)
Starting from a crystal structure in Alexandria, relaxed with PBE, the powder diffraction line list of BiTe2Se2 was simulated for Cu Kα, 1.54184 Å.
Neutral-atom scattering factors, no anomalous dispersion.

Structure:
Unit cell a=8.275 b=8.275 c=3.996 alpha=90.00 beta=90.00 gamma=90.00
Element x y z (fractional)
Bi  0.000  0.000  0.000
Bi  0.500  0.500  0.000
Te  0.147  0.353  0.500
Te  0.353  0.853  0.500
Te  0.647  0.147  0.500
Te  0.853  0.647  0.500
Se  0.170  0.670  0.000
Se  0.330  0.170  0.000
Se  0.670  0.830  0.000
Se  0.830  0.330  0.000

Top 6 peaks for 10 to 90 degrees two-theta, most intense first:
d [Å]	I (rel.)
2.715	100
2.617	85
3.300	58
1.588	38
2.926	24
2.874	22



(2)
Starting from a crystal structure in Alexandria, relaxed with PBE, the powder diffraction line list of Tl2Bi2Te3Se was simulated for Cu Kα, 1.54184 Å.
Neutral-atom scattering factors, no anomalous dispersion.

Structure:
Unit cell a=7.972 b=7.972 c=7.972 alpha=132.62 beta=132.28 gamma=69.52
Element x y z (fractional)
Tl  0.000  0.000  0.000
Tl  0.747  0.247  0.500
Bi  0.248  0.748  0.500
Bi  0.482  0.482  0.000
Te  0.007  0.507  0.500
Te  0.484  0.984  0.500
Te  0.731  0.731  0.000
Se  0.261  0.261  0.000

Top 6 peaks for 10 to 90 degrees two-theta, most intense first:
d [Å]	I (rel.)
3.225	100
3.203	98
3.275	98
1.867	81
2.273	77
2.298	75